No. 1
YFeMoPb: simulated X-ray diffraction stick pattern (a wavelength of 1.5418 Å), based on a DFT-relaxed cell (PBE, OQMD).

Most intense lines, 2θ from 5° to 70°, in order of rising 2θ:
d (Å)	2θ (°)	I_rel
3.895	22.8	14
3.373	26.4	14
2.385	37.7	100
2.034	44.5	8
1.947	46.6	4
1.687	54.4	17
1.548	59.8	4
1.508	61.5	6
1.377	68.1	35

Atomic structure:
a b c (Å): 6.746 6.746 6.746
angles (deg): 90.00 90.00 90.00
Sites, in units of the cell vectors:
Y: 0.000 0.000 0.000
Y: 0.000 0.500 0.500
Y: 0.500 0.000 0.500
Y: 0.500 0.500 0.000
Fe: 0.000 0.000 0.500
Fe: 0.000 0.500 0.000
Fe: 0.500 0.000 0.000
Fe: 0.500 0.500 0.500
Mo: 0.250 0.250 0.750
Mo: 0.250 0.750 0.250
Mo: 0.750 0.250 0.250
Mo: 0.750 0.750 0.750
Pb: 0.250 0.250 0.250
Pb: 0.250 0.750 0.750
Pb: 0.750 0.250 0.750
Pb: 0.750 0.750 0.250

No. 2
Sr2FeMo: simulated X-ray diffraction stick pattern (a wavelength of 1.5418 Å), based on a DFT-relaxed cell (PBE, OQMD).

Most intense lines, 2θ from 5° to 70°, in order of rising 2θ:
d (Å)	2θ (°)	I_rel
4.204	21.1	2
3.641	24.4	2
2.574	34.9	100
2.195	41.1	1
1.820	50.1	17
1.628	56.5	1
1.486	62.5	35

Atomic structure:
a b c (Å): 7.281 7.281 7.281
angles (deg): 90.00 90.00 90.00
Sites, in units of the cell vectors:
Sr: 0.000 0.000 0.000
Sr: 0.000 0.500 0.500
Sr: 0.250 0.250 0.250
Sr: 0.250 0.750 0.750
Sr: 0.500 0.000 0.500
Sr: 0.500 0.500 0.000
Sr: 0.750 0.250 0.750
Sr: 0.750 0.750 0.250
Fe: 0.000 0.000 0.500
Fe: 0.000 0.500 0.000
Fe: 0.500 0.000 0.000
Fe: 0.500 0.500 0.500
Mo: 0.250 0.250 0.750
Mo: 0.250 0.750 0.250
Mo: 0.750 0.250 0.250
Mo: 0.750 0.750 0.750

No. 3
Fe7N3: simulated X-ray diffraction stick pattern (a wavelength of 1.5418 Å), based on a DFT-relaxed cell (PBE, OQMD).

Most intense lines, 2θ from 5° to 70°, in order of rising 2θ:
d (Å)	2θ (°)	I_rel
2.361	38.1	17
2.349	38.3	16
2.308	39.0	12
2.156	41.9	12
2.112	42.8	29
2.088	43.3	100
2.026	44.7	40
2.020	44.9	36
1.922	47.3	16
1.812	50.4	20

Atomic structure:
a b c (Å): 8.508 8.508 4.931
angles (deg): 90.00 90.00 31.48
Sites, in units of the cell vectors:
Fe: 0.065 0.209 0.728
Fe: 0.074 0.926 0.500
Fe: 0.180 0.392 0.574
Fe: 0.209 0.065 0.228
Fe: 0.349 0.502 0.877
Fe: 0.392 0.180 0.074
Fe: 0.498 0.651 0.877
Fe: 0.502 0.349 0.377
Fe: 0.608 0.820 0.574
Fe: 0.651 0.498 0.377
Fe: 0.791 0.935 0.728
Fe: 0.820 0.608 0.074
Fe: 0.926 0.074 0.000
Fe: 0.935 0.791 0.228
N: 0.071 0.568 0.917
N: 0.317 0.683 0.181
N: 0.432 0.929 0.917
N: 0.568 0.071 0.417
N: 0.683 0.317 0.681
N: 0.929 0.432 0.417

No. 4
Fe12N5: simulated X-ray diffraction stick pattern (a wavelength of 1.5418 Å), based on a DFT-relaxed cell (PBE, OQMD).

Most intense lines, 2θ from 5° to 70°, in order of rising 2θ:
d (Å)	2θ (°)	I_rel
2.948	30.3	2
2.339	38.5	17
2.149	42.0	21
2.054	44.1	100
1.582	58.3	18
1.350	69.6	17

Atomic structure:
a b c (Å): 9.356 9.356 4.298
angles (deg): 90.00 90.00 120.00
Sites, in units of the cell vectors:
Fe: 0.000 0.166 0.254
Fe: 0.000 0.336 0.746
Fe: 0.000 0.664 0.254
Fe: 0.000 0.834 0.746
Fe: 0.166 0.000 0.254
Fe: 0.166 0.166 0.746
Fe: 0.174 0.508 0.248
Fe: 0.174 0.665 0.752
Fe: 0.335 0.508 0.752
Fe: 0.335 0.826 0.248
Fe: 0.336 0.000 0.746
Fe: 0.336 0.336 0.254
Fe: 0.492 0.665 0.248
Fe: 0.492 0.826 0.752
Fe: 0.508 0.174 0.248
Fe: 0.508 0.335 0.752
Fe: 0.664 0.000 0.254
Fe: 0.664 0.664 0.746
Fe: 0.665 0.174 0.752
Fe: 0.665 0.492 0.248
Fe: 0.826 0.335 0.248
Fe: 0.826 0.492 0.752
Fe: 0.834 0.000 0.746
Fe: 0.834 0.834 0.254
N: 0.000 0.000 0.000
N: 0.000 0.500 0.000
N: 0.171 0.343 0.500
N: 0.171 0.829 0.500
N: 0.343 0.171 0.500
N: 0.500 0.000 0.000
N: 0.500 0.500 0.000
N: 0.657 0.829 0.500
N: 0.829 0.171 0.500
N: 0.829 0.657 0.500

No. 5
FeN: simulated X-ray diffraction stick pattern (a wavelength of 1.5418 Å), based on a DFT-relaxed cell (PBE, OQMD).

Most intense lines, 2θ from 5° to 70°, in order of rising 2θ:
d (Å)	2θ (°)	I_rel
2.433	36.9	100
2.118	42.7	19
2.086	43.4	9
1.498	62.0	13
1.486	62.5	25

Atomic structure:
a b c (Å): 2.995 2.995 4.173
angles (deg): 90.00 90.00 90.00
Sites, in units of the cell vectors:
Fe: 0.000 0.000 0.000
Fe: 0.500 0.500 0.500
N: 0.000 0.500 0.250
N: 0.500 0.000 0.750

No. 6
NaFeN: simulated X-ray diffraction stick pattern (a wavelength of 1.5418 Å), based on a DFT-relaxed cell (PBE, OQMD).

Most intense lines, 2θ from 5° to 70°, in order of rising 2θ:
d (Å)	2θ (°)	I_rel
5.109	17.4	25
4.409	20.1	100
2.554	35.1	12
2.492	36.0	58
2.445	36.8	51
1.767	51.7	16
1.759	52.0	13
1.633	56.3	10
1.430	65.3	6
1.427	65.4	11

Atomic structure:
a b c (Å): 11.309 3.517 4.888
angles (deg): 90.00 115.39 90.00
Sites, in units of the cell vectors:
Na: 0.098 0.000 0.347
Na: 0.402 0.500 0.653
Na: 0.598 0.500 0.347
Na: 0.902 0.000 0.653
Fe: 0.174 0.500 0.922
Fe: 0.326 0.000 0.078
Fe: 0.674 0.000 0.922
Fe: 0.826 0.500 0.078
N: 0.144 0.000 0.892
N: 0.356 0.500 0.108
N: 0.644 0.500 0.892
N: 0.856 0.000 0.108

No. 7
FePW4N2: simulated X-ray diffraction stick pattern (a wavelength of 1.5418 Å), based on a DFT-relaxed cell (PBE, OQMD).

Most intense lines, 2θ from 5° to 70°, in order of rising 2θ:
d (Å)	2θ (°)	I_rel
6.797	13.0	9
3.398	26.2	32
2.508	35.8	25
2.466	36.4	31
2.266	39.8	13
2.194	41.1	100
2.018	44.9	16
1.681	54.6	11
1.535	60.3	20
1.448	64.3	22

Atomic structure:
a b c (Å): 2.895 2.895 13.594
angles (deg): 90.00 90.00 120.00
Sites, in units of the cell vectors:
Fe: 0.000 0.000 0.000
P: 0.667 0.333 0.500
W: 0.000 0.000 0.364
W: 0.000 0.000 0.636
W: 0.667 0.333 0.155
W: 0.667 0.333 0.845
N: 0.333 0.667 0.257
N: 0.333 0.667 0.743

No. 8
Sc4FeSN2: simulated X-ray diffraction stick pattern (a wavelength of 1.5418 Å), based on a DFT-relaxed cell (PBE, OQMD).

Most intense lines, 2θ from 5° to 70°, in order of rising 2θ:
d (Å)	2θ (°)	I_rel
12.493	7.1	3
2.827	31.7	21
2.575	34.8	8
2.339	38.5	100
2.096	43.2	3
2.082	43.5	10
1.872	48.6	8
1.676	54.8	12
1.632	56.4	25
1.367	68.7	3

Atomic structure:
a b c (Å): 3.264 3.264 12.493
angles (deg): 90.00 90.00 120.00
Sites, in units of the cell vectors:
Sc: 0.000 0.000 0.144
Sc: 0.000 0.000 0.856
Sc: 0.333 0.667 0.343
Sc: 0.333 0.667 0.657
Fe: 0.000 0.000 0.500
S: 0.333 0.667 0.000
N: 0.667 0.333 0.234
N: 0.667 0.333 0.766

No. 9
Y4FeSbN2: simulated X-ray diffraction stick pattern (a wavelength of 1.5418 Å), based on a DFT-relaxed cell (PBE, OQMD).

Most intense lines, 2θ from 5° to 70°, in order of rising 2θ:
d (Å)	2θ (°)	I_rel
3.043	29.4	25
2.803	31.9	11
2.570	34.9	100
2.400	37.5	11
2.092	43.3	9
1.885	48.3	11
1.757	52.1	25
1.549	59.7	10
1.450	64.2	16
1.417	65.9	19

Atomic structure:
a b c (Å): 3.514 3.514 14.402
angles (deg): 90.00 90.00 120.00
Sites, in units of the cell vectors:
Y: 0.000 0.000 0.136
Y: 0.000 0.000 0.864
Y: 0.667 0.333 0.328
Y: 0.667 0.333 0.672
Fe: 0.667 0.333 0.000
Sb: 0.000 0.000 0.500
N: 0.333 0.667 0.246
N: 0.333 0.667 0.754

No. 10
Sr8Fe3N8: simulated X-ray diffraction stick pattern (a wavelength of 1.5418 Å), based on a DFT-relaxed cell (PBE, OQMD).

Most intense lines, 2θ from 5° to 70°, in order of rising 2θ:
d (Å)	2θ (°)	I_rel
3.236	27.6	28
3.043	29.4	56
3.001	29.8	75
2.979	30.0	38
2.939	30.4	19
2.827	31.7	65
2.664	33.6	100
2.597	34.5	25
2.526	35.5	22
1.486	62.5	20

Atomic structure:
a b c (Å): 9.712 9.712 7.433
angles (deg): 105.28 105.28 31.84
Sites, in units of the cell vectors:
Sr: 0.030 0.030 0.264
Sr: 0.200 0.200 0.805
Sr: 0.333 0.333 0.533
Sr: 0.405 0.405 0.035
Sr: 0.595 0.595 0.965
Sr: 0.667 0.667 0.467
Sr: 0.800 0.800 0.195
Sr: 0.970 0.970 0.736
Fe: 0.188 0.188 0.206
Fe: 0.500 0.500 0.500
Fe: 0.812 0.812 0.794
N: 0.108 0.108 0.015
N: 0.179 0.179 0.432
N: 0.277 0.277 0.169
N: 0.473 0.473 0.721
N: 0.527 0.527 0.279
N: 0.723 0.723 0.831
N: 0.821 0.821 0.568
N: 0.892 0.892 0.985

No. 11
Sr2TlFe2N3: simulated X-ray diffraction stick pattern (a wavelength of 1.5418 Å), based on a DFT-relaxed cell (PBE, OQMD).

Most intense lines, 2θ from 5° to 70°, in order of rising 2θ:
d (Å)	2θ (°)	I_rel
4.339	20.5	50
2.949	30.3	45
2.927	30.5	35
2.896	30.9	47
2.768	32.3	53
2.613	34.3	100
2.594	34.6	39
2.286	39.4	30
2.058	44.0	34
1.657	55.4	29

Atomic structure:
a b c (Å): 6.557 6.557 7.234
angles (deg): 92.90 92.90 117.58
Sites, in units of the cell vectors:
Sr: 0.183 0.311 0.112
Sr: 0.311 0.183 0.612
Sr: 0.689 0.817 0.388
Sr: 0.817 0.689 0.888
Tl: 0.185 0.815 0.250
Tl: 0.815 0.185 0.750
Fe: 0.168 0.579 0.599
Fe: 0.421 0.832 0.901
Fe: 0.579 0.168 0.099
Fe: 0.832 0.421 0.401
N: 0.045 0.317 0.438
N: 0.317 0.045 0.938
N: 0.407 0.593 0.750
N: 0.593 0.407 0.250
N: 0.683 0.955 0.062
N: 0.955 0.683 0.562

No. 12
Tb2Fe17N3: simulated X-ray diffraction stick pattern (a wavelength of 1.5418 Å), based on a DFT-relaxed cell (PBE, OQMD).

Most intense lines, 2θ from 5° to 70°, in order of rising 2θ:
d (Å)	2θ (°)	I_rel
2.999	29.8	45
2.486	36.1	39
2.399	37.5	29
2.153	42.0	78
2.137	42.3	100
2.096	43.2	20
2.089	43.3	36
2.081	43.5	15
1.517	61.1	22
1.499	61.9	21

Atomic structure:
a b c (Å): 6.495 6.495 6.495
angles (deg): 83.05 83.05 83.05
Sites, in units of the cell vectors:
Tb: 0.159 0.159 0.159
Tb: 0.841 0.841 0.841
Fe: 0.000 0.500 0.500
Fe: 0.157 0.157 0.644
Fe: 0.157 0.644 0.157
Fe: 0.218 0.500 0.782
Fe: 0.218 0.782 0.500
Fe: 0.356 0.843 0.843
Fe: 0.406 0.406 0.406
Fe: 0.500 0.000 0.500
Fe: 0.500 0.218 0.782
Fe: 0.500 0.500 0.000
Fe: 0.500 0.782 0.218
Fe: 0.594 0.594 0.594
Fe: 0.644 0.157 0.157
Fe: 0.782 0.218 0.500
Fe: 0.782 0.500 0.218
Fe: 0.843 0.356 0.843
Fe: 0.843 0.843 0.356
N: 0.000 0.000 0.500
N: 0.000 0.500 0.000
N: 0.500 0.000 0.000